Record 1
Starting from a cell relaxed with GGA+U, the powder XRD pattern of Li3MnPCO7 was simulated for copper Kα.
Lines closer than 0.1° are merged.

Crystal structure
Lattice parameters (Å, degrees): 9.567 6.480 9.835 90.00 116.17 90.00
Fractional coordinates of all 52 atoms:
Li (0.103, 0.247, 0.188)
Li (0.103, 0.253, 0.688)
Li (0.285, 0.011, 0.010)
Li (0.285, 0.489, 0.510)
Li (0.353, 0.745, 0.316)
Li (0.353, 0.755, 0.816)
Li (0.647, 0.245, 0.184)
Li (0.647, 0.255, 0.684)
Li (0.715, 0.511, 0.490)
Li (0.715, 0.989, 0.990)
Li (0.897, 0.747, 0.312)
Li (0.897, 0.753, 0.812)
Mn (0.269, 0.001, 0.515)
Mn (0.269, 0.499, 0.015)
Mn (0.731, 0.501, 0.985)
Mn (0.731, 0.999, 0.485)
P (0.407, 0.247, 0.814)
P (0.407, 0.253, 0.314)
P (0.593, 0.747, 0.686)
P (0.593, 0.753, 0.186)
C (0.042, 0.749, 0.123)
C (0.042, 0.751, 0.623)
C (0.958, 0.249, 0.377)
C (0.958, 0.251, 0.877)
O (0.070, 0.738, 0.763)
O (0.070, 0.762, 0.263)
O (0.103, 0.246, 0.484)
O (0.103, 0.254, 0.984)
O (0.154, 0.740, 0.082)
O (0.154, 0.760, 0.582)
O (0.307, 0.060, 0.814)
O (0.307, 0.440, 0.314)
O (0.312, 0.060, 0.320)
O (0.312, 0.440, 0.820)
O (0.422, 0.250, 0.162)
O (0.422, 0.250, 0.662)
O (0.427, 0.745, 0.553)
O (0.427, 0.755, 0.053)
O (0.573, 0.245, 0.947)
O (0.573, 0.255, 0.447)
O (0.578, 0.750, 0.338)
O (0.578, 0.750, 0.838)
O (0.688, 0.560, 0.180)
O (0.688, 0.940, 0.680)
O (0.693, 0.560, 0.686)
O (0.693, 0.940, 0.186)
O (0.846, 0.240, 0.418)
O (0.846, 0.260, 0.918)
O (0.897, 0.746, 0.016)
O (0.897, 0.754, 0.516)
O (0.930, 0.238, 0.737)
O (0.930, 0.262, 0.237)

Most intense lines, 2θ = 15–90°, by angle:
2θ/deg  I_rel
16.97  100
23.13  48
24.40  35
24.88  33
25.64  51
34.69  96
36.67  28
51.03  28

Record 2
Starting from a cell relaxed with GGA+U, the powder XRD pattern of CdCoF5 was simulated for copper Kα.
Lines closer than 0.1° are merged.

Crystal structure
Lattice parameters (Å, degrees): 5.636 5.636 7.919 110.66 110.66 72.76
Fractional coordinates of all 14 atoms:
Cd (0.000, 0.000, 0.000)
Cd (0.000, 0.000, 0.500)
Co (0.485, 0.515, 0.750)
Co (0.515, 0.485, 0.250)
F (0.150, 0.850, 0.750)
F (0.227, 0.335, 0.650)
F (0.308, 0.667, 0.069)
F (0.333, 0.692, 0.431)
F (0.335, 0.227, 0.150)
F (0.665, 0.773, 0.850)
F (0.667, 0.308, 0.569)
F (0.692, 0.333, 0.931)
F (0.773, 0.665, 0.350)
F (0.850, 0.150, 0.250)

Most intense lines, 2θ = 15–90°, by angle:
2θ/deg  I_rel
21.79  85
26.16  100
26.66  39
34.29  38
34.69  17
44.42  21
46.77  29
52.18  42

Record 3
Starting from a cell relaxed with GGA+U, the powder XRD pattern of Li4V2Cr3Sn3O16 was simulated for copper Kα.
Lines closer than 0.1° are merged.

Crystal structure
Lattice parameters (Å, degrees): 6.100 6.100 9.639 90.51 90.51 60.36
Fractional coordinates of all 28 atoms:
Li (0.000, 0.000, 0.000)
Li (0.006, 0.006, 0.489)
Li (0.322, 0.322, 0.386)
Li (0.658, 0.658, 0.897)
V (0.316, 0.316, 0.996)
V (0.654, 0.654, 0.483)
Cr (0.163, 0.163, 0.713)
Cr (0.337, 0.816, 0.214)
Cr (0.816, 0.337, 0.214)
Sn (0.162, 0.655, 0.712)
Sn (0.655, 0.162, 0.712)
Sn (0.823, 0.823, 0.213)
O (0.037, 0.466, 0.844)
O (0.164, 0.659, 0.092)
O (0.170, 0.170, 0.095)
O (0.321, 0.321, 0.597)
O (0.321, 0.831, 0.599)
O (0.466, 0.037, 0.844)
O (0.472, 0.472, 0.848)
O (0.506, 0.953, 0.341)
O (0.513, 0.513, 0.334)
O (0.654, 0.654, 0.102)
O (0.659, 0.164, 0.092)
O (0.830, 0.830, 0.593)
O (0.831, 0.321, 0.599)
O (0.953, 0.506, 0.341)
O (0.998, 0.998, 0.815)
O (0.999, 0.999, 0.304)

Most intense lines, 2θ = 15–90°, by angle:
2θ/deg  I_rel
18.41  100
19.11  76
19.27  30
34.67  31
35.11  63
44.20  39
44.42  28
60.74  29